Structure and theoretical powder diffraction line list of LaAl2Cd9 (a crystal structure in Alexandria, relaxed with PBE; Cu Kα (weighted mean of Kα1 and Kα2)).
Peak positions follow from Bragg's law for the DFT cell and can differ from measured ones.

Main lines, low angle first (5 to 70 degrees two-theta):
2theta	Rel. int.
33.2	100
34.0	58
35.2	20
38.5	16
40.0	60
60.4	28

Structural model:
Unit cell a=9.2024 b=9.2024 c=9.2024 alpha=100.45 beta=100.45 gamma=129.60
Positions (direct):
La  0.3750  0.6250  0.7500
La  0.6250  0.3750  0.2500
Al  0.0000  0.0000  0.0000
Al  0.0000  0.0000  0.5000
Al  0.0000  0.5000  0.0000
Al  0.5000  0.0000  0.5000
Cd  0.1202  0.5506  0.3272
Cd  0.1202  0.7930  0.5696
Cd  0.1250  0.8750  0.2500
Cd  0.2070  0.2765  0.3272
Cd  0.2070  0.8798  0.9304
Cd  0.2765  0.2070  0.8272
Cd  0.2765  0.4494  0.0696
Cd  0.4494  0.2765  0.5696
Cd  0.4494  0.8798  0.1728
Cd  0.5506  0.1202  0.8272
Cd  0.5506  0.7235  0.4304
Cd  0.7235  0.5506  0.9304
Cd  0.7235  0.7930  0.1728
Cd  0.7930  0.1202  0.0696
Cd  0.7930  0.7235  0.6728
Cd  0.8750  0.1250  0.7500
Cd  0.8798  0.2070  0.4304
Cd  0.8798  0.4494  0.6728